Starting from a DFT-relaxed cell (PBE, Alexandria), the X-ray powder pattern of Mg6TiSiO8 was calculated for copper Kα.

The 8 most intense peaks (2θ = 5–70°), in order of rising 2θ:
10.11 deg, I 5; 22.98 deg, I 3; 30.67 deg, I 2; 35.88 deg, I 24; 41.29 deg, I 51; 41.86 deg, I 100; 60.26 deg, I 57; 60.69 deg, I 28

Structural model:
Unit cell a=4.316 b=4.316 c=8.746 alpha=90.00 beta=90.00 gamma=90.00
Atoms (fractional coordinates):
Mg1 0.000 0.000 0.000
Mg2 0.000 0.500 0.244
Mg3 0.000 0.500 0.756
Mg4 0.500 0.000 0.244
Mg5 0.500 0.000 0.756
Mg6 0.500 0.500 0.000
Ti1 0.000 0.000 0.500
Si1 0.500 0.500 0.500
O1 0.000 0.000 0.243
O2 0.000 0.000 0.757
O3 0.000 0.500 0.000
O4 0.000 0.500 0.500
O5 0.500 0.000 0.000
O6 0.500 0.000 0.500
O7 0.500 0.500 0.237
O8 0.500 0.500 0.763

Starting from a DFT-relaxed cell (PBE, Alexandria), the X-ray powder pattern of MgTl6Si2O7 was calculated for copper Kα.

The 8 most intense peaks (2θ = 5–70°), in order of rising 2θ:
11.36 deg, I 52; 19.89 deg, I 44; 26.40 deg, I 57; 27.40 deg, I 88; 28.85 deg, I 100; 30.03 deg, I 72; 30.61 deg, I 42; 34.36 deg, I 56

Structural model:
Unit cell a=5.227 b=8.913 c=9.148 alpha=118.97 beta=92.39 gamma=90.44
Atoms (fractional coordinates):
Mg1 0.000 0.000 0.000
Tl1 0.037 0.497 0.652
Tl2 0.069 0.886 0.631
Tl3 0.495 0.356 0.918
Tl4 0.509 0.198 0.298
Tl5 0.536 0.692 0.397
Tl6 0.944 0.757 0.144
Si1 0.025 0.417 0.223
Si2 0.537 0.796 0.872
O1 0.343 0.414 0.217
O2 0.367 0.967 0.985
O3 0.410 0.701 0.677
O4 0.553 0.665 0.950
O5 0.904 0.471 0.086
O6 0.921 0.223 0.176
O7 0.942 0.557 0.414

Starting from a DFT-relaxed cell (PBE, Alexandria), the X-ray powder pattern of MgU2Si2O18 was calculated for copper Kα.

The 8 most intense peaks (2θ = 5–70°), in order of rising 2θ:
11.57 deg, I 100; 17.64 deg, I 22; 19.01 deg, I 32; 23.26 deg, I 29; 25.07 deg, I 22; 25.39 deg, I 43; 27.96 deg, I 24; 29.92 deg, I 31

Structural model:
Unit cell a=8.417 b=8.417 c=6.790 alpha=91.04 beta=91.04 gamma=49.31
Atoms (fractional coordinates):
Mg1 0.000 0.000 0.000
U1 0.255 0.255 0.354
U2 0.745 0.745 0.646
Si1 0.206 0.206 0.822
Si2 0.794 0.794 0.178
O1 0.060 0.415 0.680
O2 0.103 0.103 0.861
O3 0.136 0.136 0.332
O4 0.259 0.259 0.034
O5 0.324 0.637 0.819
O6 0.363 0.676 0.181
O7 0.373 0.373 0.398
O8 0.415 0.060 0.680
O9 0.441 0.441 0.774
O10 0.559 0.559 0.226
O11 0.585 0.940 0.320
O12 0.627 0.627 0.602
O13 0.637 0.324 0.819
O14 0.676 0.363 0.181
O15 0.741 0.741 0.966
O16 0.864 0.864 0.668
O17 0.897 0.897 0.139
O18 0.940 0.585 0.320

Starting from a DFT-relaxed cell (PBE, Alexandria), the X-ray powder pattern of MgU2Si2O17 was calculated for copper Kα.

The 8 most intense peaks (2θ = 5–70°), in order of rising 2θ:
10.43 deg, I 100; 15.76 deg, I 20; 19.61 deg, I 25; 20.95 deg, I 29; 25.30 deg, I 22; 27.43 deg, I 20; 29.55 deg, I 22; 30.89 deg, I 16

Structural model:
Unit cell a=9.261 b=9.261 c=6.706 alpha=97.43 beta=97.43 gamma=44.68
Atoms (fractional coordinates):
Mg1 0.000 0.000 0.000
U1 0.261 0.261 0.645
U2 0.739 0.739 0.355
Si1 0.207 0.207 0.159
Si2 0.793 0.793 0.841
O1 0.000 0.000 0.500
O2 0.055 0.413 0.312
O3 0.114 0.114 0.075
O4 0.139 0.853 0.711
O5 0.147 0.861 0.289
O6 0.154 0.154 0.617
O7 0.257 0.257 0.967
O8 0.366 0.366 0.636
O9 0.413 0.055 0.312
O10 0.587 0.945 0.688
O11 0.634 0.634 0.364
O12 0.743 0.743 0.033
O13 0.846 0.846 0.383
O14 0.853 0.139 0.711
O15 0.861 0.147 0.289
O16 0.886 0.886 0.925
O17 0.945 0.587 0.688

Starting from a DFT-relaxed cell (PBE, Alexandria), the X-ray powder pattern of MgU2Si2O18 was calculated for copper Kα.

The 8 most intense peaks (2θ = 5–70°), in order of rising 2θ:
12.45 deg, I 100; 16.31 deg, I 27; 18.34 deg, I 40; 25.03 deg, I 71; 28.01 deg, I 43; 28.90 deg, I 28; 31.06 deg, I 26; 32.08 deg, I 33

Structural model:
Unit cell a=8.068 b=8.068 c=6.867 alpha=99.82 beta=99.82 gamma=52.36
Atoms (fractional coordinates):
Mg1 0.000 0.000 0.000
U1 0.244 0.244 0.355
U2 0.756 0.756 0.645
Si1 0.209 0.209 0.804
Si2 0.791 0.791 0.196
O1 0.061 0.411 0.670
O2 0.103 0.103 0.849
O3 0.115 0.115 0.262
O4 0.263 0.263 0.037
O5 0.313 0.621 0.824
O6 0.370 0.370 0.431
O7 0.379 0.687 0.176
O8 0.411 0.061 0.670
O9 0.487 0.487 0.745
O10 0.513 0.513 0.255
O11 0.589 0.939 0.330
O12 0.621 0.313 0.824
O13 0.630 0.630 0.569
O14 0.687 0.379 0.176
O15 0.737 0.737 0.963
O16 0.885 0.885 0.738
O17 0.897 0.897 0.151
O18 0.939 0.589 0.330